# 1
# Mg3Cr5
Simulated powder XRD pattern, Cu Kα. Input: a PBE-relaxed structure.
Kinematic intensities with the Lorentz-polarization factor, no thermal factor.

Most intense lines, 10° ≤ 2θ ≤ 90°, in order of rising 2θ:
- 2θ 16.7, I = 8
- 2θ 28.2, I = 8
- 2θ 39.5, I = 100
- 2θ 39.9, I = 25
- 2θ 40.8, I = 24
- 2θ 55.9, I = 9
- 2θ 58.4, I = 15
- 2θ 70.8, I = 8
- 2θ 71.4, I = 7
- 2θ 72.2, I = 14
- 2θ 73.4, I = 13
- 2θ 85.1, I = 8

Atomic structure:
a = 6.5843 Å, b = 9.0341 Å, c = 4.4244 Å
α = 90.00°, β = 90.00°, γ = 90.00°
Space group Cmmm (No. 65)
One atom of each set of equivalent atoms:
Mg 0.0000 0.0000 0.0000 x2
Mg 0.0000 0.2427 0.5000 x4
Cr 0.0000 0.5000 0.0000 x2
Cr 0.2226 0.5000 0.5000 x4
Cr 0.2500 0.2500 0.0000 x4

# 2
# In5I
Simulated powder XRD pattern, Cu Kα. Input: a PBE-relaxed structure.
Kinematic intensities with the Lorentz-polarization factor, no thermal factor.

Most intense lines, 10° ≤ 2θ ≤ 90°, in order of rising 2θ:
- 2θ 30.8, I = 26
- 2θ 31.9, I = 30
- 2θ 32.9, I = 100
- 2θ 44.9, I = 18
- 2θ 49.5, I = 8
- 2θ 56.1, I = 15
- 2θ 57.5, I = 19
- 2θ 59.4, I = 8
- 2θ 60.1, I = 9
- 2θ 69.0, I = 10
- 2θ 75.2, I = 10
- 2θ 82.1, I = 8

Atomic structure:
a = 5.6156 Å, b = 17.4160 Å, c = 3.6828 Å
α = 90.00°, β = 90.00°, γ = 90.00°
Space group Cmmm (No. 65)
One atom of each set of equivalent atoms:
In 0.0000 0.0000 0.0000 x2
In 0.0000 0.1590 0.5000 x4
In 0.0000 0.3157 0.0000 x4
I 0.0000 0.5000 0.5000 x2

# 3
# ThNi6Pt2
Simulated powder XRD pattern, Cu Kα. Input: a PBE-relaxed structure.
Kinematic intensities with the Lorentz-polarization factor, no thermal factor.

Most intense lines, 10° ≤ 2θ ≤ 90°, in order of rising 2θ:
- 2θ 27.5, I = 100
- 2θ 28.7, I = 37
- 2θ 43.7, I = 44
- 2θ 47.8, I = 92
- 2θ 56.0, I = 14
- 2θ 56.7, I = 17
- 2θ 66.7, I = 24
- 2θ 69.9, I = 14
- 2θ 76.6, I = 15
- 2θ 77.2, I = 7
- 2θ 86.1, I = 11
- 2θ 89.1, I = 30

Atomic structure:
a = 10.7711 Å, b = 10.7711 Å, c = 10.7711 Å
α = 90.00°, β = 90.00°, γ = 90.00°
Space group Fd-3m (No. 227, origin choice 2)
One atom of each set of equivalent atoms:
Th 0.1250 0.1250 0.1250 x8
Ni 0.1159 0.3750 0.3750 x48
Pt 0.0000 0.0000 0.5000 x16